No. 1
Starting from a crystal structure in Alexandria, relaxed with GGA-PBE, the powder XRD pattern of Ca2YThAs4 was calculated for Cu Ka.

Peak list (8 most intense, 2θ from 10° to 90°, by intensity)
2theta	d/Å	I_rel
29.8	2.995	100
42.7	2.118	49
12.8	6.900	34
70.3	1.340	16
24.6	3.622	14
52.8	1.734	13
53.1	1.724	13
42.5	2.128	13

a = 7.320 Å, b = 4.257 Å, c = 7.327 Å
α = 90.00°, β = 109.62°, γ = 90.00°
Fractional coordinates of all 8 atoms:
Ca (0.000, 0.000, 0.000)
Ca (0.500, 0.500, 0.000)
Y (0.000, 0.500, 0.500)
Th (0.500, 0.000, 0.500)
As (0.244, 0.000, 0.739)
As (0.250, 0.500, 0.258)
As (0.750, 0.500, 0.742)
As (0.756, 0.000, 0.261)


No. 2
Starting from a crystal structure in Alexandria, relaxed with GGA-PBE, the powder XRD pattern of CaYTiAs2 was calculated for Cu Ka.

Peak list (8 most intense, 2θ from 10° to 90°, by intensity)
2theta	d/Å	I_rel
31.3	2.856	100
35.7	2.515	68
52.8	1.735	42
37.5	2.396	29
61.4	1.510	28
25.7	3.470	27
51.4	1.779	23
65.3	1.428	22

a = 5.030 Å, b = 5.030 Å, c = 4.792 Å
α = 90.00°, β = 90.00°, γ = 90.00°
Fractional coordinates of all 5 atoms:
Ca (0.000, 0.000, 0.000)
Y (0.500, 0.500, 0.000)
Ti (0.000, 0.000, 0.500)
As (0.000, 0.500, 0.500)
As (0.500, 0.000, 0.500)


No. 3
Starting from a crystal structure in Alexandria, relaxed with GGA-PBE, the powder XRD pattern of Ca2UAs3 was calculated for Cu Ka.

Peak list (8 most intense, 2θ from 10° to 90°, by intensity)
2theta	d/Å	I_rel
30.2	2.963	100
43.2	2.096	61
13.4	6.594	49
71.1	1.326	16
53.5	1.713	13
21.9	4.054	13
53.7	1.708	12
43.3	2.090	12

a = 13.918 Å, b = 13.268 Å, c = 7.254 Å
α = 79.54°, β = 69.63°, γ = 30.83°
Fractional coordinates of all 24 atoms:
Ca (0.044, 0.044, 0.206)
Ca (0.123, 0.123, 0.627)
Ca (0.206, 0.206, 0.044)
Ca (0.373, 0.373, 0.877)
Ca (0.627, 0.627, 0.123)
Ca (0.794, 0.794, 0.956)
Ca (0.877, 0.877, 0.373)
Ca (0.956, 0.956, 0.794)
U (0.291, 0.291, 0.459)
U (0.459, 0.459, 0.291)
U (0.541, 0.541, 0.709)
U (0.709, 0.709, 0.541)
As (0.039, 0.536, 0.234)
As (0.146, 0.604, 0.604)
As (0.234, 0.691, 0.039)
As (0.309, 0.766, 0.464)
As (0.396, 0.854, 0.854)
As (0.464, 0.961, 0.309)
As (0.536, 0.039, 0.691)
As (0.604, 0.146, 0.146)
As (0.691, 0.234, 0.536)
As (0.766, 0.309, 0.961)
As (0.854, 0.396, 0.396)
As (0.961, 0.464, 0.766)


No. 4
Starting from a crystal structure in Alexandria, relaxed with GGA-PBE, the powder XRD pattern of CaU2As3 was calculated for Cu Ka.

Peak list (8 most intense, 2θ from 10° to 90°, by intensity)
2theta	d/Å	I_rel
14.1	6.276	100
34.6	2.591	77
24.5	3.632	55
34.8	2.582	39
37.7	2.389	37
28.0	3.185	37
43.3	2.087	30
24.7	3.607	26

a = 7.264 Å, b = 7.264 Å, c = 7.392 Å
α = 90.00°, β = 90.00°, γ = 59.55°
Fractional coordinates of all 12 atoms:
Ca (0.007, 0.993, 0.750)
Ca (0.993, 0.007, 0.250)
U (0.334, 0.334, 0.000)
U (0.334, 0.334, 0.500)
U (0.666, 0.666, 0.000)
U (0.666, 0.666, 0.500)
As (0.001, 0.405, 0.250)
As (0.401, 0.599, 0.250)
As (0.405, 0.001, 0.750)
As (0.595, 0.999, 0.250)
As (0.599, 0.401, 0.750)
As (0.999, 0.595, 0.750)


No. 5
Starting from a crystal structure in Alexandria, relaxed with GGA-PBE, the powder XRD pattern of CaZn2As2 was calculated for Cu Ka.

Peak list (8 most intense, 2θ from 10° to 90°, by intensity)
2theta	d/Å	I_rel
43.2	2.096	100
35.5	2.526	84
27.7	3.226	65
46.1	1.969	64
24.5	3.631	45
81.2	1.184	23
65.0	1.435	22
12.6	7.033	22

a = 4.192 Å, b = 4.192 Å, c = 7.033 Å
α = 90.00°, β = 90.00°, γ = 120.00°
Fractional coordinates of all 5 atoms:
Ca (0.000, 0.000, 0.000)
Zn (0.333, 0.667, 0.631)
Zn (0.667, 0.333, 0.369)
As (0.333, 0.667, 0.258)
As (0.667, 0.333, 0.742)


No. 6
Starting from a crystal structure in Alexandria, relaxed with GGA-PBE, the powder XRD pattern of CaZrAs3 was calculated for Cu Ka.

Peak list (8 most intense, 2θ from 10° to 90°, by intensity)
2theta	d/Å	I_rel
34.5	2.596	100
17.1	5.193	70
49.7	1.836	70
29.8	2.998	48
38.8	2.322	35
83.2	1.161	30
61.9	1.499	23
59.0	1.566	20

a = 5.193 Å, b = 5.193 Å, c = 5.193 Å
α = 90.00°, β = 90.00°, γ = 90.00°
Fractional coordinates of all 5 atoms:
Ca (0.000, 0.000, 0.000)
Zr (0.500, 0.500, 0.500)
As (0.000, 0.500, 0.500)
As (0.500, 0.000, 0.500)
As (0.500, 0.500, 0.000)


No. 7
Starting from a crystal structure in Alexandria, relaxed with GGA-PBE, the powder XRD pattern of Cd5As was calculated for Cu Ka.

Peak list (8 most intense, 2θ from 10° to 90°, by intensity)
2theta	d/Å	I_rel
37.7	2.385	100
31.6	2.833	36
60.3	1.534	24
34.1	2.629	22
70.4	1.338	20
47.2	1.927	17
61.0	1.518	15
74.0	1.281	13

a = 5.259 Å, b = 5.259 Å, c = 5.666 Å
α = 90.00°, β = 90.00°, γ = 120.00°
Fractional coordinates of all 6 atoms:
Cd (0.000, 0.671, 0.000)
Cd (0.329, 0.329, 0.000)
Cd (0.333, 0.667, 0.500)
Cd (0.667, 0.333, 0.500)
Cd (0.671, 0.000, 0.000)
As (0.000, 0.000, 0.500)